Record 1
Ac6Si2BiCl3: simulated XRD peak list (Cu Kα), based on the GGA-PBE geometry in Alexandria.
No peak broadening, texture or thermal motion is included.

Largest 10 diffraction maxima, by angle, 2θ = 15–90°:
d [Å]  I_rel
3.814  14
3.747  30
3.557  13
3.215  100
2.337  25
2.305  14
2.242  11
2.215  25
1.874  14
1.608  12

Structure:
```
data_Ac6Si2BiCl3
_chemical_formula_sum 'Ac12 Si4 Bi2 Cl6'
_cell_length_a 19.538
_cell_length_b 4.610
_cell_length_c 8.995
_cell_angle_alpha 90.00
_cell_angle_beta 99.01
_cell_angle_gamma 90.00
_symmetry_space_group_name_H-M 'C 1 2/m 1'
_symmetry_Int_Tables_number 12
loop_
_symmetry_equiv_pos_as_xyz
'x,y,z'
'-x,-y,-z'
'-x,y,-z'
'x,-y,z'
'x+1/2,y+1/2,z'
'-x+1/2,-y+1/2,-z'
'-x+1/2,y+1/2,-z'
'x+1/2,-y+1/2,z'
loop_
_atom_site_label
_atom_site_type_symbol
_atom_site_fract_x
_atom_site_fract_y
_atom_site_fract_z
_atom_site_occupancy
Ac1 Ac 0.011 0.000 0.269 1
Ac2 Ac 0.171 0.500 0.574 1
Ac3 Ac 0.174 0.500 0.112 1
Si1 Si 0.169 0.000 0.337 1
Bi1 Bi 0.000 0.500 0.000 1
Cl1 Cl 0.000 0.500 0.500 1
Cl2 Cl 0.163 0.000 0.835 1
```


Record 2
MnFeH3: simulated XRD peak list (Cu Kα), based on the GGA-PBE geometry in Alexandria.
No peak broadening, texture or thermal motion is included.

Largest 10 diffraction maxima, by angle, 2θ = 15–90°:
d [Å]  I_rel
4.193  16
3.549  12
3.189  20
2.396  29
2.136  100
2.080  81
1.490  27
1.233  14
1.222  25
1.169  12

Structure:
```
data_MnFeH3
_chemical_formula_sum 'Mn6 Fe6 H18'
_cell_length_a 4.2721
_cell_length_b 4.2721
_cell_length_c 12.5781
_cell_angle_alpha 90.00
_cell_angle_beta 90.00
_cell_angle_gamma 120.00
_symmetry_space_group_name_H-M 'R -3 m'
_symmetry_Int_Tables_number 166
_symmetry_space_group_name_Hall '-R 3 2"'
loop_
_atom_site_label
_atom_site_type_symbol
_atom_site_fract_x
_atom_site_fract_y
_atom_site_fract_z
_atom_site_occupancy
Mn1 Mn 0.0000 0.0000 0.1063 1
Fe1 Fe 0.0000 0.0000 0.3141 1
H1 H 0.0228 0.5114 0.0942 1
```


Record 3
VMo2Rh3: simulated XRD peak list (Cu Kα), based on the GGA-PBE geometry in Alexandria.
No peak broadening, texture or thermal motion is included.

Largest 10 diffraction maxima, by angle, 2θ = 15–90°:
d [Å]  I_rel
2.234  100
1.941  16
1.936  16
1.928  16
1.371  10
1.367  20
1.169  12
1.167  12
1.164  12
1.117  11

Structure:
```
data_VMo2Rh3
_chemical_formula_sum 'V4 Mo8 Rh12'
_cell_length_a 3.873
_cell_length_b 11.644
_cell_length_c 7.711
_cell_angle_alpha 90.00
_cell_angle_beta 90.00
_cell_angle_gamma 90.00
_symmetry_space_group_name_H-M 'C m m m'
_symmetry_Int_Tables_number 65
_symmetry_space_group_name_Hall '-C 2 2'
loop_
_atom_site_label
_atom_site_type_symbol
_atom_site_fract_x
_atom_site_fract_y
_atom_site_fract_z
_atom_site_occupancy
V1 V 0.000 0.164 0.000 1
Mo1 Mo 0.000 0.167 0.500 1
Mo2 Mo 0.000 0.500 0.000 1
Mo3 Mo 0.000 0.500 0.500 1
Rh1 Rh 0.000 0.000 0.248 1
Rh2 Rh 0.000 0.333 0.244 1
```


Repeat the third record exactly.
VMo2Rh3: simulated XRD peak list (Cu Kα), based on the GGA-PBE geometry in Alexandria.
No peak broadening, texture or thermal motion is included.

Largest 10 diffraction maxima, by angle, 2θ = 15–90°:
d [Å]  I_rel
2.234  100
1.941  16
1.936  16
1.928  16
1.371  10
1.367  20
1.169  12
1.167  12
1.164  12
1.117  11

Structure:
```
data_VMo2Rh3
_chemical_formula_sum 'V4 Mo8 Rh12'
_cell_length_a 3.873
_cell_length_b 11.644
_cell_length_c 7.711
_cell_angle_alpha 90.00
_cell_angle_beta 90.00
_cell_angle_gamma 90.00
_symmetry_space_group_name_H-M 'C m m m'
_symmetry_Int_Tables_number 65
_symmetry_space_group_name_Hall '-C 2 2'
loop_
_atom_site_label
_atom_site_type_symbol
_atom_site_fract_x
_atom_site_fract_y
_atom_site_fract_z
_atom_site_occupancy
V1 V 0.000 0.164 0.000 1
Mo1 Mo 0.000 0.167 0.500 1
Mo2 Mo 0.000 0.500 0.000 1
Mo3 Mo 0.000 0.500 0.500 1
Rh1 Rh 0.000 0.000 0.248 1
Rh2 Rh 0.000 0.333 0.244 1
```